Starting from a PBE-relaxed structure, the powder diffraction line list of Tl3AsPd3 was calculated for Cu Ka.
Peak positions follow from Bragg's law for the DFT cell and can differ from measured ones.

Crystal structure
```
Tl3AsPd3
1.0
4.167 -5.671 0.000
4.167 5.671 0.000
-0.186 0.000 6.790
Tl As Pd
6 2 6
Direct
0.140 0.860 0.000 Tl
0.254 0.746 0.500 Tl
0.390 0.390 0.198 Tl
0.610 0.610 0.802 Tl
0.746 0.254 0.500 Tl
0.860 0.140 0.000 Tl
0.208 0.208 0.682 As
0.792 0.792 0.318 As
0.094 0.094 0.339 Pd
0.185 0.509 0.859 Pd
0.491 0.815 0.141 Pd
0.509 0.185 0.859 Pd
0.815 0.491 0.141 Pd
0.906 0.906 0.661 Pd
```

The 6 most intense peaks (15 to 90 degrees two-theta), in order of falling intensity:
2theta	I_rel
29.2	100
30.7	80
35.5	74
34.3	64
29.9	63
37.2	57